1.
The following is a simulated PXRD pattern of Mn3RhN. It was derived from a cell relaxed with PBE, using Cu Kα X-rays.
Intensities are scaled so that the largest is 100.

The 6 most intense peaks (2θ from 15° to 90°), sorted by position:
- 2.759 Å, 32.5 deg, I = 15.9
- 2.252 Å, 40.0 deg, I = 100.0
- 1.951 Å, 46.6 deg, I = 57.0
- 1.379 Å, 68.0 deg, I = 33.6
- 1.176 Å, 81.9 deg, I = 33.5
- 1.126 Å, 86.4 deg, I = 11.3

Cell: 3.9014 3.9014 3.9014 Å, 90.00 90.00 90.00°
Atoms (fractional coordinates):
Mn1 0.0000 0.0000 0.5000
Mn2 0.0000 0.5000 0.0000
Mn3 0.5000 0.0000 0.0000
Rh1 0.5000 0.5000 0.5000
N1 0.0000 0.0000 0.0000

***

2.
The following is a simulated PXRD pattern of Mn4RuN4. It was derived from a cell relaxed with PBE, using Cu Kα X-rays.
Intensities are scaled so that the largest is 100.

The 6 most intense peaks (2θ from 15° to 90°), sorted by position:
- 3.191 Å, 28.0 deg, I = 78.2
- 2.485 Å, 36.1 deg, I = 89.0
- 2.344 Å, 38.4 deg, I = 100.0
- 2.251 Å, 40.1 deg, I = 59.2
- 1.912 Å, 47.6 deg, I = 66.1
- 1.898 Å, 47.9 deg, I = 57.6

Cell: 5.3309 5.6156 7.1830 Å, 71.65 78.93 61.78°
Atoms (fractional coordinates):
Mn1 0.1991 0.4891 0.2325
Mn2 0.2087 0.8582 0.4043
Mn3 0.2640 0.9997 0.9987
Mn4 0.2801 0.1363 0.5947
Mn5 0.7199 0.8637 0.4053
Mn6 0.7360 0.0003 0.0013
Mn7 0.7913 0.1418 0.5957
Mn8 0.8009 0.5109 0.7675
Ru1 0.3283 0.4560 0.7712
Ru2 0.6717 0.5440 0.2288
N1 0.0108 0.8806 0.1919
N2 0.0277 0.2471 0.3823
N3 0.3583 0.2579 0.0467
N4 0.4686 0.7512 0.6109
N5 0.5314 0.2488 0.3891
N6 0.6417 0.7421 0.9533
N7 0.9723 0.7529 0.6177
N8 0.9892 0.1194 0.8081